[1]
Structure and computed X-ray diffraction stick pattern of Ac7In3Ir2 (a GGA-PBE-relaxed structure; copper Kα).
Neutral-atom scattering factors, no anomalous dispersion.

Largest 10 diffraction maxima, sorted by position, 10° ≤ 2θ ≤ 90°:
h k l	2θ (°)	I_rel
0 0 1	15.50	19
1 5 1	27.19	100
2 0 0	30.91	42
0 0 2	31.29	40
0 10 0	32.28	30
2 0 2	44.56	31
2 10 0	45.30	25
0 10 2	45.57	24
1 5 3	53.23	18
2 10 2	56.08	26

```
data_Ac7In3Ir2
_chemical_formula_sum 'Ac14 In6 Ir4'
_cell_length_a 5.7863
_cell_length_b 27.7317
_cell_length_c 5.7172
_cell_angle_alpha 90.00
_cell_angle_beta 90.00
_cell_angle_gamma 90.00
_symmetry_space_group_name_H-M 'C m m m'
_symmetry_Int_Tables_number 65
_symmetry_space_group_name_Hall '-C 2 2'
loop_
_atom_site_label
_atom_site_type_symbol
_atom_site_fract_x
_atom_site_fract_y
_atom_site_fract_z
Ac1 Ac 0.0000 0.0000 0.0000
Ac2 Ac 0.0000 0.0953 0.5000
Ac3 Ac 0.0000 0.2108 0.0000
Ac4 Ac 0.0000 0.3908 0.0000
In1 In 0.0000 0.2961 0.5000
In2 In 0.0000 0.5000 0.5000
Ir1 Ir 0.0000 0.1060 0.0000
```


[2]
Structure and computed X-ray diffraction stick pattern of Ac3In2Ir7 (a GGA-PBE-relaxed structure; copper Kα).
Neutral-atom scattering factors, no anomalous dispersion.

Largest 10 diffraction maxima, sorted by position, 10° ≤ 2θ ≤ 90°:
h k l	2θ (°)	I_rel
1 0 7	30.06	23
1 1 0	31.18	27
0 1 8	32.96	32
0 2 1	36.32	48
2 0 2	36.83	20
1 1 6	37.61	100
2 0 5	40.24	41
0 0 12	41.73	19
0 3 6	59.78	26
2 2 0	65.02	32

```
data_Ac3In2Ir7
_chemical_formula_sum 'Ac9 In6 Ir21'
_cell_length_a 5.7379
_cell_length_b 5.7379
_cell_length_c 25.9710
_cell_angle_alpha 90.00
_cell_angle_beta 90.00
_cell_angle_gamma 120.00
_symmetry_space_group_name_H-M 'R -3 m'
_symmetry_Int_Tables_number 166
_symmetry_space_group_name_Hall '-R 3 2"'
loop_
_atom_site_label
_atom_site_type_symbol
_atom_site_fract_x
_atom_site_fract_y
_atom_site_fract_z
Ac1 Ac 0.0000 0.0000 0.0000
Ac2 Ac 0.0000 0.0000 0.1394
In1 In 0.0000 0.0000 0.3351
Ir1 Ir 0.0000 0.0000 0.5000
Ir2 Ir 0.0054 0.5027 0.9146
```


[3]
Structure and computed X-ray diffraction stick pattern of AcIn3Ir3 (a GGA-PBE-relaxed structure; copper Kα).
Neutral-atom scattering factors, no anomalous dispersion.

Largest 10 diffraction maxima, sorted by position, 10° ≤ 2θ ≤ 90°:
h k l	2θ (°)	I_rel
2 0 0	24.46	42
2 1 1	30.07	100
2 2 2	43.05	22
3 2 1	46.69	60
4 0 0	50.13	28
4 2 0	56.55	17
3 3 2	59.58	15
5 2 1	70.92	18
4 4 0	73.62	18
6 1 1	81.52	18

```
data_AcIn3Ir3
_chemical_formula_sum 'Ac2 In6 Ir6'
_cell_length_a 7.2785
_cell_length_b 7.2785
_cell_length_c 7.2785
_cell_angle_alpha 90.00
_cell_angle_beta 90.00
_cell_angle_gamma 90.00
_symmetry_space_group_name_H-M 'P m -3 n'
_symmetry_Int_Tables_number 223
_symmetry_space_group_name_Hall '-P 4n 2 3'
loop_
_atom_site_label
_atom_site_type_symbol
_atom_site_fract_x
_atom_site_fract_y
_atom_site_fract_z
Ac1 Ac 0.0000 0.0000 0.0000
In1 In 0.0000 0.2500 0.5000
Ir1 Ir 0.0000 0.5000 0.2500
```


[4]
Structure and computed X-ray diffraction stick pattern of Ac5In2Ir2 (a GGA-PBE-relaxed structure; copper Kα).
Neutral-atom scattering factors, no anomalous dispersion.

Largest 10 diffraction maxima, sorted by position, 10° ≤ 2θ ≤ 90°:
h k l	2θ (°)	I_rel
2 0 0	10.30	82
3 1 2	28.00	67
4 0 2	29.12	50
0 2 2	30.39	28
4 2 0	30.69	28
4 2 1	32.38	100
1 1 3	33.08	66
5 1 2	35.07	58
1 3 1	35.85	53
8 0 0	42.10	27

```
data_Ac5In2Ir2
_chemical_formula_sum 'Ac20 In8 Ir8'
_cell_length_a 17.1710
_cell_length_b 7.9344
_cell_length_c 8.7675
_cell_angle_alpha 90.00
_cell_angle_beta 90.00
_cell_angle_gamma 90.00
_symmetry_space_group_name_H-M 'C m c e'
_symmetry_Int_Tables_number 64
_symmetry_space_group_name_Hall '-C 2ac 2'
loop_
_atom_site_label
_atom_site_type_symbol
_atom_site_fract_x
_atom_site_fract_y
_atom_site_fract_z
Ac1 Ac 0.0000 0.0000 0.0000
Ac2 Ac 0.1174 0.1588 0.3280
In1 In 0.2150 0.0000 0.0000
Ir1 Ir 0.0000 0.1376 0.6274
```


[5]
Structure and computed X-ray diffraction stick pattern of Ac6InIr (a GGA-PBE-relaxed structure; copper Kα).
Neutral-atom scattering factors, no anomalous dispersion.

Largest 10 diffraction maxima, sorted by position, 10° ≤ 2θ ≤ 90°:
h k l	2θ (°)	I_rel
0 2 1	20.07	30
2 0 -1	22.36	35
1 3 0	25.80	21
1 1 -2	26.39	23
2 0 1	27.66	56
1 3 1	29.96	100
3 1 -1	33.14	34
3 3 0	40.60	22
1 1 3	43.48	19
3 5 -1	51.77	19

```
data_Ac6InIr
_chemical_formula_sum 'Ac12 In2 Ir2'
_cell_length_a 8.4514
_cell_length_b 11.4203
_cell_length_c 7.2043
_cell_angle_alpha 90.00
_cell_angle_beta 103.69
_cell_angle_gamma 90.00
_symmetry_space_group_name_H-M 'C 1 2/m 1'
_symmetry_Int_Tables_number 12
_symmetry_space_group_name_Hall '-C 2y'
loop_
_atom_site_label
_atom_site_type_symbol
_atom_site_fract_x
_atom_site_fract_y
_atom_site_fract_z
Ac1 Ac 0.1384 0.1796 0.2796
Ac2 Ac 0.2166 0.5000 0.1573
In1 In 0.0000 0.5000 0.5000
Ir1 Ir 0.0000 0.0000 0.0000
```


[6]
Structure and computed X-ray diffraction stick pattern of Ac4InIr2 (a GGA-PBE-relaxed structure; copper Kα).
Neutral-atom scattering factors, no anomalous dispersion.

Largest 10 diffraction maxima, sorted by position, 10° ≤ 2θ ≤ 90°:
h k l	2θ (°)	I_rel
0 2 4	26.72	76
1 3 0	27.28	34
1 3 1	27.94	100
1 3 2	29.83	64
1 1 5	36.91	31
0 6 3	40.88	40
1 5 3	41.08	51
2 0 0	41.31	38
1 1 6	42.17	23
2 2 4	49.88	29

```
data_Ac4InIr2
_chemical_formula_sum 'Ac16 In4 Ir8'
_cell_length_a 4.3707
_cell_length_b 14.7728
_cell_length_c 14.9598
_cell_angle_alpha 90.00
_cell_angle_beta 90.00
_cell_angle_gamma 90.00
_symmetry_space_group_name_H-M 'C m c m'
_symmetry_Int_Tables_number 63
_symmetry_space_group_name_Hall '-C 2c 2'
loop_
_atom_site_label
_atom_site_type_symbol
_atom_site_fract_x
_atom_site_fract_y
_atom_site_fract_z
Ac1 Ac 0.0000 0.0000 0.0000
Ac2 Ac 0.0000 0.2664 0.1081
Ac3 Ac 0.0000 0.4320 0.7500
In1 In 0.0000 0.1111 0.7500
Ir1 Ir 0.0000 0.3676 0.5639
```